(1)
Theoretical powder diffraction line list of Li5Mn3Sb2O10 for Cu Kα, 1.54184 Å, from a GGA+U-relaxed structure.
No peak broadening, texture or thermal motion is included.

Peak list (6 most intense, 15° ≤ 2θ ≤ 90°, low angle first)
2θ (°)  I (rel.)
17.45  100
21.51  19
35.15  20
40.04  29
40.95  29
41.54  28

Structure:
abc: 5.391 8.305 10.767
angles: 71.30 79.20 71.73
Positions (direct):
Li 0.000 0.000 0.000
Li 0.009 0.005 0.500
Li 0.114 0.640 0.468
Li 0.132 0.641 0.984
Li 0.601 0.848 0.993
Li 0.615 0.851 0.488
Li 0.743 0.473 0.460
Li 0.776 0.440 0.986
Li 0.856 0.750 0.205
Li 0.880 0.738 0.741
Mn 0.057 0.354 0.225
Mn 0.066 0.343 0.733
Mn 0.379 0.231 0.991
Mn 0.379 0.236 0.479
Mn 0.683 0.132 0.737
Mn 0.698 0.130 0.228
Sb 0.264 0.940 0.251
Sb 0.282 0.933 0.741
Sb 0.457 0.546 0.219
Sb 0.475 0.542 0.722
O 0.007 0.229 0.098
O 0.054 0.154 0.625
O 0.144 0.478 0.348
O 0.155 0.496 0.842
O 0.218 0.754 0.109
O 0.248 0.784 0.625
O 0.337 0.071 0.854
O 0.347 0.064 0.373
O 0.408 0.391 0.118
O 0.427 0.393 0.615
O 0.496 0.680 0.342
O 0.516 0.692 0.835
O 0.602 0.991 0.625
O 0.653 0.999 0.097
O 0.694 0.320 0.840
O 0.694 0.326 0.339
O 0.775 0.599 0.104
O 0.797 0.581 0.606
O 0.933 0.894 0.376
O 0.950 0.896 0.849

---

(2)
Theoretical powder diffraction line list of Li6Mn5SbO12 for Cu Kα, 1.54184 Å, from a GGA+U-relaxed structure.
No peak broadening, texture or thermal motion is included.

Peak list (6 most intense, 15° ≤ 2θ ≤ 90°, low angle first)
2θ (°)  I (rel.)
17.05  100
34.50  20
35.56  23
41.17  23
44.59  19
58.49  23

Structure:
abc: 11.406 11.406 5.541
angles: 95.34 95.34 47.07
Positions (direct):
Li 0.063 0.223 0.647
Li 0.105 0.611 0.850
Li 0.223 0.063 0.147
Li 0.273 0.440 0.354
Li 0.389 0.895 0.650
Li 0.440 0.273 0.854
Li 0.560 0.727 0.146
Li 0.611 0.105 0.350
Li 0.727 0.560 0.646
Li 0.777 0.937 0.853
Li 0.895 0.389 0.150
Li 0.937 0.777 0.353
Mn 0.000 0.500 0.500
Mn 0.083 0.917 0.750
Mn 0.167 0.333 0.000
Mn 0.333 0.167 0.500
Mn 0.418 0.582 0.750
Mn 0.500 0.000 0.000
Mn 0.582 0.418 0.250
Mn 0.667 0.833 0.500
Mn 0.833 0.667 0.000
Mn 0.917 0.083 0.250
Sb 0.245 0.755 0.250
Sb 0.755 0.245 0.750
O 0.027 0.870 0.371
O 0.054 0.555 0.147
O 0.121 0.264 0.344
O 0.130 0.973 0.129
O 0.185 0.716 0.910
O 0.237 0.379 0.659
O 0.264 0.121 0.844
O 0.284 0.815 0.590
O 0.345 0.548 0.379
O 0.379 0.237 0.159
O 0.445 0.946 0.353
O 0.452 0.655 0.121
O 0.548 0.345 0.879
O 0.555 0.054 0.647
O 0.621 0.763 0.841
O 0.655 0.452 0.621
O 0.716 0.185 0.410
O 0.736 0.879 0.156
O 0.763 0.621 0.341
O 0.815 0.284 0.090
O 0.870 0.027 0.871
O 0.879 0.736 0.656
O 0.946 0.445 0.853
O 0.973 0.130 0.629

---

(3)
Theoretical powder diffraction line list of Li4Mn3V2Sb3O16 for Cu Kα, 1.54184 Å, from a GGA+U-relaxed structure.
No peak broadening, texture or thermal motion is included.

Peak list (6 most intense, 15° ≤ 2θ ≤ 90°, low angle first)
2θ (°)  I (rel.)
18.22  100
18.82  22
18.92  31
19.09  39
34.95  34
35.19  29

Structure:
abc: 6.091 6.144 9.738
angles: 90.39 90.73 119.55
Positions (direct):
Li 0.000 0.000 0.000
Li 0.021 0.016 0.515
Li 0.329 0.678 0.101
Li 0.651 0.345 0.618
Mn 0.146 0.337 0.791
Mn 0.150 0.830 0.790
Mn 0.320 0.171 0.287
V 0.291 0.663 0.527
V 0.632 0.316 0.004
Sb 0.641 0.829 0.789
Sb 0.813 0.663 0.287
Sb 0.815 0.170 0.289
O 0.021 0.551 0.657
O 0.131 0.316 0.402
O 0.137 0.834 0.398
O 0.310 0.141 0.906
O 0.326 0.684 0.898
O 0.463 0.969 0.667
O 0.473 0.540 0.650
O 0.508 0.488 0.165
O 0.511 0.042 0.167
O 0.657 0.341 0.399
O 0.664 0.844 0.401
O 0.803 0.143 0.911
O 0.813 0.666 0.899
O 0.950 0.482 0.164
O 0.970 0.982 0.695
O 0.978 0.996 0.186